(1)
This entry pairs a crystal structure of Ba2SmMgNbO6 with its theoretical powder XRD pattern. Radiation: a wavelength of 1.5418 Å. Structure: a cell relaxed with GGA-PBE.
Peak positions follow from Bragg's law for the DFT cell and can differ from measured ones.

Largest 6 diffraction maxima, most intense first, 10° ≤ 2θ ≤ 90°:
two_theta	I/Imax
29.60	100
43.11	59
26.54	51
40.18	30
30.71	26
19.78	25

Cell and atoms:
```
data_Ba2SmMgNbO6
_chemical_formula_sum 'Ba2 Sm1 Mg1 Nb1 O6'
_cell_length_a 6.803
_cell_length_b 6.803
_cell_length_c 6.803
_cell_angle_alpha 52.67
_cell_angle_beta 52.67
_cell_angle_gamma 52.67
_symmetry_space_group_name_H-M 'P 1'
_symmetry_Int_Tables_number 1
_symmetry_space_group_name_Hall 'P 1'
loop_
_atom_site_label
_atom_site_type_symbol
_atom_site_fract_x
_atom_site_fract_y
_atom_site_fract_z
Ba1 Ba 0.000 0.000 0.000
Ba2 Ba 0.464 0.464 0.464
Sm1 Sm 0.667 0.667 0.667
Mg1 Mg 0.827 0.827 0.827
Nb1 Nb 0.193 0.193 0.193
O1 O 0.416 0.416 0.933
O2 O 0.416 0.933 0.416
O3 O 0.443 0.941 0.941
O4 O 0.933 0.416 0.416
O5 O 0.941 0.443 0.941
O6 O 0.941 0.941 0.443
```

***

(2)
This entry pairs a crystal structure of Ba2SmMgNbO6 with its theoretical powder XRD pattern. Radiation: a wavelength of 1.5418 Å. Structure: a cell relaxed with GGA-PBE.
Peak positions follow from Bragg's law for the DFT cell and can differ from measured ones.

Largest 6 diffraction maxima, most intense first, 10° ≤ 2θ ≤ 90°:
two_theta	I/Imax
29.87	100
26.09	54
30.04	51
40.08	33
42.88	24
53.03	20

Cell and atoms:
```
data_Ba2SmMgNbO6
_chemical_formula_sum 'Ba2 Sm1 Mg1 Nb1 O6'
_cell_length_a 6.971
_cell_length_b 6.971
_cell_length_c 6.971
_cell_angle_alpha 50.81
_cell_angle_beta 50.81
_cell_angle_gamma 50.81
_symmetry_space_group_name_H-M 'P 1'
_symmetry_Int_Tables_number 1
_symmetry_space_group_name_Hall 'P 1'
loop_
_atom_site_label
_atom_site_type_symbol
_atom_site_fract_x
_atom_site_fract_y
_atom_site_fract_z
Ba1 Ba 0.000 0.000 0.000
Ba2 Ba 0.419 0.419 0.419
Sm1 Sm 0.215 0.215 0.215
Mg1 Mg 0.590 0.590 0.590
Nb1 Nb 0.739 0.739 0.739
O1 O 0.466 0.956 0.956
O2 O 0.496 0.496 0.967
O3 O 0.496 0.967 0.496
O4 O 0.956 0.466 0.956
O5 O 0.956 0.956 0.466
O6 O 0.967 0.496 0.496
```

***

(3)
This entry pairs a crystal structure of Ba2SmMgNbO6 with its theoretical powder XRD pattern. Radiation: a wavelength of 1.5418 Å. Structure: a cell relaxed with GGA-PBE.
Peak positions follow from Bragg's law for the DFT cell and can differ from measured ones.

Largest 6 diffraction maxima, most intense first, 10° ≤ 2θ ≤ 90°:
two_theta	I/Imax
27.98	100
41.07	52
28.10	46
29.34	42
44.15	40
32.22	31

Cell and atoms:
```
data_Ba2SmMgNbO6
_chemical_formula_sum 'Ba2 Sm1 Mg1 Nb1 O6'
_cell_length_a 6.390
_cell_length_b 6.390
_cell_length_c 6.390
_cell_angle_alpha 123.10
_cell_angle_beta 120.41
_cell_angle_gamma 87.01
_symmetry_space_group_name_H-M 'P 1'
_symmetry_Int_Tables_number 1
_symmetry_space_group_name_Hall 'P 1'
loop_
_atom_site_label
_atom_site_type_symbol
_atom_site_fract_x
_atom_site_fract_y
_atom_site_fract_z
Ba1 Ba 0.185 0.185 0.000
Ba2 Ba 0.815 0.815 0.000
Sm1 Sm 0.500 0.000 0.500
Mg1 Mg 0.500 0.500 0.000
Nb1 Nb 0.000 0.500 0.500
O1 O 0.226 0.726 0.500
O2 O 0.253 0.274 0.527
O3 O 0.253 0.726 0.979
O4 O 0.747 0.274 0.021
O5 O 0.747 0.726 0.473
O6 O 0.774 0.274 0.500
```